1.
For Na2Zn3H4Se4O14, the PBE geometry in the Materials Project gives the computed powder X-ray diffraction pattern in this record (Cu Kα).
Kinematic intensities with the Lorentz-polarization factor, no thermal factor.

Main lines, most intense first (2θ = 10–80°):
2θ 11.26, 7.860 Å, intensity 100, hkl 2 0 0
2θ 31.73, 2.820 Å, intensity 29, hkl 3 1 3
2θ 31.90, 2.805 Å, intensity 29, hkl 5 1 -3
2θ 27.14, 3.286 Å, intensity 28, hkl 1 1 -4
2θ 28.95, 3.084 Å, intensity 26, hkl 2 2 -1
2θ 30.17, 2.962 Å, intensity 24, hkl 2 0 4
2θ 17.81, 4.982 Å, intensity 24, hkl 1 1 -2
2θ 23.80, 3.739 Å, intensity 22, hkl 3 1 1
2θ 34.54, 2.597 Å, intensity 20, hkl 4 2 -1
2θ 33.42, 2.681 Å, intensity 18, hkl 3 1 -5

Structure:
Cell: 16.478 6.692 15.128 Å, 90.00 107.44 90.00°
Space group C2/c (No. 15)
Symmetry-distinct sites (fractional):
Na1 0.105 0.136 0.491 x8
Zn1 0.000 0.177 0.250 x4
Zn2 0.011 0.339 0.881 x8
H1 0.208 0.496 0.889 x8
H2 0.229 0.280 0.382 x8
Se1 0.104 0.325 0.107 x8
Se2 0.143 0.125 0.779 x8
O1 0.014 0.364 0.148 x8
O2 0.057 0.099 0.680 x8
O3 0.057 0.201 0.004 x8
O4 0.110 0.434 0.577 x8
O5 0.116 0.327 0.836 x8
O6 0.119 0.088 0.333 x8
O7 0.244 0.093 0.592 x8


2.
For TiOF, the PBE geometry in the Materials Project gives the computed powder X-ray diffraction pattern in this record (Cu Kα).
Kinematic intensities with the Lorentz-polarization factor, no thermal factor.

Main lines, most intense first (2θ = 10–80°):
2θ 28.56, 3.126 Å, intensity 100, hkl 1 1 -1
2θ 32.99, 2.715 Å, intensity 65, hkl 1 1 1
2θ 51.87, 1.763 Å, intensity 62, hkl 1 2 -2
2θ 41.01, 2.201 Å, intensity 40, hkl 2 1 -1
2θ 17.80, 4.984 Å, intensity 29, hkl 1 0 0
2θ 24.99, 3.564 Å, intensity 28, hkl 0 1 1
2θ 51.27, 1.782 Å, intensity 25, hkl 0 2 2
2θ 47.04, 1.932 Å, intensity 19, hkl 1 1 2
2θ 59.69, 1.549 Å, intensity 18, hkl 3 0 -2
2θ 35.24, 2.547 Å, intensity 17, hkl 0 0 2

Structure:
Cell: 5.099 4.988 5.211 Å, 90.00 102.20 90.00°
Space group P2_1/c (No. 14)
Symmetry-distinct sites (fractional):
Ti1 0.186 0.038 0.293 x4
O1 0.056 0.746 0.511 x4
F1 0.444 0.180 0.649 x4


3.
For KTeF5, the PBE geometry in the Materials Project gives the computed powder X-ray diffraction pattern in this record (Cu Kα).
Kinematic intensities with the Lorentz-polarization factor, no thermal factor.

Main lines, most intense first (2θ = 10–80°):
2θ 21.80, 4.077 Å, intensity 100, hkl 1 1 1
2θ 20.35, 4.363 Å, intensity 77, hkl 0 2 1
2θ 15.41, 5.751 Å, intensity 56, hkl 0 0 2
2θ 41.09, 2.197 Å, intensity 52, hkl 1 2 4
2θ 23.81, 3.737 Å, intensity 48, hkl 1 0 2
2θ 24.41, 3.647 Å, intensity 45, hkl 0 2 2
2θ 27.33, 3.264 Å, intensity 31, hkl 1 2 1
2θ 31.08, 2.878 Å, intensity 27, hkl 0 0 4
2θ 44.84, 2.021 Å, intensity 27, hkl 2 1 3
2θ 49.68, 1.835 Å, intensity 19, hkl 2 3 2

Structure:
Cell: 4.917 9.432 11.502 Å, 90.00 90.00 90.00°
Space group Pbcm (No. 57)
Symmetry-distinct sites (fractional):
K1 0.011 0.250 0.000 x4
Te1 0.375 0.561 0.250 x4
F1 0.108 0.710 0.250 x4
F2 0.122 0.011 0.627 x8
F3 0.473 0.188 0.126 x8


4.
For Li3CuP2O8, the PBE geometry in the Materials Project gives the computed powder X-ray diffraction pattern in this record (Cu Kα).
Kinematic intensities with the Lorentz-polarization factor, no thermal factor.

Main lines, most intense first (2θ = 10–80°):
2θ 21.80, 4.077 Å, intensity 100, hkl 1 -1 0
2θ 36.55, 2.458 Å, intensity 83, hkl 0 0 4
2θ 22.30, 3.986 Å, intensity 64, hkl 0 1 -2
2θ 12.88, 6.871 Å, intensity 63, hkl 0 1 0
2θ 35.40, 2.535 Å, intensity 44, hkl 2 0 0
2θ 22.15, 4.013 Å, intensity 39, hkl 0 1 2
2θ 23.65, 3.762 Å, intensity 33, hkl -1 1 1
2θ 28.26, 3.158 Å, intensity 30, hkl 1 1 2
2θ 28.51, 3.130 Å, intensity 28, hkl 1 1 -2
2θ 19.75, 4.496 Å, intensity 24, hkl 1 0 -1

Structure:
Cell: 5.071 6.871 9.837 Å, 89.59 89.63 89.77°
Space group P1 (No. 1)
Symmetry-distinct sites (fractional):
Li1 0.000 0.000 0.000 x1
Li2 0.005 0.475 0.490 x1
Li3 0.623 0.491 0.258 x1
Li4 0.630 0.988 0.251 x1
Li5 0.638 0.985 0.755 x1
Li6 0.992 0.982 0.503 x1
Cu1 0.015 0.498 0.027 x1
Cu2 0.617 0.492 0.746 x1
P1 0.119 0.738 0.750 x1
P2 0.133 0.740 0.250 x1
P3 0.492 0.221 0.499 x1
P4 0.508 0.240 0.996 x1
O1 0.000 0.547 0.292 x1
O2 0.011 0.927 0.809 x1
O3 0.063 0.715 0.599 x1
O4 0.101 0.748 0.087 x1
O5 0.197 0.231 0.529 x1
O6 0.206 0.250 0.029 x1
O7 0.424 0.724 0.782 x1
O8 0.431 0.739 0.276 x1
O9 0.550 0.246 0.837 x1
O10 0.556 0.240 0.347 x1
O11 0.625 0.051 0.050 x1
O12 0.628 0.043 0.563 x1
O13 0.633 0.407 0.565 x1
O14 0.642 0.423 0.057 x1
O15 0.981 0.557 0.827 x1
O16 0.992 0.919 0.306 x1